Starting from the PBE geometry in the Materials Project, the powder XRD pattern of TmAgP2Se6 was calculated for CuKα.
Kinematic intensities with the Lorentz-polarization factor, no thermal factor.

Cell: 6.6400 6.6400 15.0967 Å, 90.00 90.00 120.00°
Space group P-31c (No. 163)
Unique sites:
Tm: 0.0000 0.0000 0.2500
Ag: 0.3333 0.6667 0.2500
P: 0.3333 0.6667 0.6747
Se: 0.0222 0.3422 0.6307

Peak list (12 most intense, 2θ = 5–70°, by intensity)
2theta, intensity, hkl
29.4, 100, 1 1 2
11.7, 70, 0 0 2
36.0, 56, 1 1 4
47.4, 32, 3 0 0
45.2, 28, 2 -1 6
56.8, 14, 4 -2 2
70.0, 14, 3 0 8
23.5, 14, 0 0 4
61.0, 14, 4 -2 4
49.0, 11, 3 0 2
48.2, 10, 0 0 8
19.4, 9, 1 0 2

Starting from the PBE geometry in the Materials Project, the powder XRD pattern of MgBi4O8 was calculated for CuKα.
Kinematic intensities with the Lorentz-polarization factor, no thermal factor.

Cell: 6.3438 6.3763 6.4950 Å, 109.96 112.30 104.79°
Space group P1 (No. 1)
Unique sites:
Mg: 0.0000 0.0000 0.0000
Bi: 0.0036 0.5023 0.0046
Bi: 0.2989 0.9955 0.7238
Bi: 0.5009 0.4983 0.5039
Bi: 0.7076 0.0064 0.2831
O: 0.0025 0.8404 0.2407
O: 0.0052 0.1666 0.7646
O: 0.0448 0.3399 0.2543
O: 0.4028 0.1393 0.1400
O: 0.4218 0.6917 0.2466
O: 0.5855 0.3147 0.7693
O: 0.5987 0.8574 0.8625
O: 0.9530 0.6572 0.7462

Peak list (12 most intense, 2θ = 5–70°, by intensity)
2theta, intensity, hkl
22.9, 100, 1 1 -1
30.5, 93, 1 -2 1
24.1, 86, -1 1 1
29.6, 56, 1 0 1
29.7, 50, 0 1 -2
33.3, 42, 0 2 0
45.2, 38, 0 3 -2
56.8, 22, 1 2 1
44.5, 21, 2 1 0
33.7, 21, 2 0 -2
44.8, 20, 1 2 -3
58.3, 19, 1 -4 1

Starting from the PBE geometry in the Materials Project, the powder XRD pattern of Rb3W was calculated for CuKα.
Kinematic intensities with the Lorentz-polarization factor, no thermal factor.

Cell: 9.5949 9.5949 9.5949 Å, 90.00 90.00 90.00°
Space group Fm-3m (No. 225)
Unique sites:
Rb: 0.0000 0.0000 0.0000
Rb: 0.2500 0.2500 0.2500
W: 0.0000 0.0000 0.5000

Peak list (12 most intense, 2θ = 5–70°, by intensity)
2theta, intensity, hkl
26.3, 100, 2 2 0
46.4, 42, 4 2 2
37.5, 19, 4 0 0
61.1, 19, 6 2 0
54.1, 13, 4 4 0
16.0, 9, 1 1 1
30.9, 6, 3 1 1
18.5, 5, 2 0 0
67.7, 5, 4 4 4
41.0, 3, 3 3 1
42.1, 3, 4 2 0
56.8, 2, 5 3 1

Starting from the PBE geometry in the Materials Project, the powder XRD pattern of BBr was calculated for CuKα.
Kinematic intensities with the Lorentz-polarization factor, no thermal factor.

Cell: 9.9447 10.0177 10.0914 Å, 87.30 86.55 85.74°
Space group P1 (No. 1)
Unique sites:
B: 0.0000 0.0000 0.0000
B: 0.0005 0.1313 0.8658
B: 0.0393 0.9624 0.8341
B: 0.2189 0.5634 0.4132
B: 0.2548 0.3929 0.3828
B: 0.2609 0.5208 0.2481
B: 0.3656 0.5032 0.4931
B: 0.3722 0.6316 0.3598
B: 0.3927 0.3836 0.2540
B: 0.4225 0.3508 0.4224
B: 0.4318 0.5496 0.2151
B: 0.5033 0.4948 0.3652
B: 0.7549 0.0213 0.8850
B: 0.8294 0.1712 0.8346
B: 0.8289 0.9707 0.0352
B: 0.8700 0.1371 0.0004
B: 0.8899 0.8901 0.8893
B: 0.8917 0.0227 0.7577
Br: 0.0577 0.6485 0.4875
Br: 0.1185 0.2679 0.4184
Br: 0.1298 0.9648 0.1337
Br: 0.1326 0.2609 0.8263
Br: 0.1339 0.5552 0.1126
Br: 0.2018 0.8792 0.7576
Br: 0.3817 0.5285 0.6794
Br: 0.3967 0.8185 0.3792
Br: 0.4266 0.2464 0.1270
Br: 0.4973 0.1910 0.5050
Br: 0.5143 0.6232 0.0572
Br: 0.5677 0.9972 0.8594
Br: 0.6914 0.5127 0.3922
Br: 0.7471 0.8962 0.1933
Br: 0.7481 0.3310 0.7582
Br: 0.8393 0.2710 0.1311
Br: 0.8688 0.7020 0.8679
Br: 0.8736 0.0045 0.5698

Peak list (12 most intense, 2θ = 5–70°, by intensity)
2theta, intensity, hkl
26.6, 100, 2 2 -1
26.8, 92, 2 -1 2
27.0, 84, -1 2 2
27.6, 65, 1 3 0
24.5, 56, 2 0 2
27.9, 56, 0 3 1
12.2, 53, 1 1 0
22.2, 42, 1 1 -2
22.4, 40, 1 -2 1
22.7, 40, -2 1 1
27.3, 36, 1 -2 2
35.0, 36, 2 2 3

Starting from the PBE geometry in the Materials Project, the powder XRD pattern of NaLiCO3 was calculated for CuKα.
Kinematic intensities with the Lorentz-polarization factor, no thermal factor.

Cell: 3.3589 14.4747 14.4837 Å, 60.07 88.23 88.33°
Space group P1 (No. 1)
Unique sites:
Na: 0.0000 0.0000 0.0000
Na: 0.0020 0.0248 0.6861
Na: 0.0139 0.7048 0.3588
Na: 0.0365 0.6406 0.0640
Na: 0.0472 0.6738 0.6755
Na: 0.0509 0.3164 0.7140
Na: 0.0877 0.3265 0.3512
Na: 0.9626 0.9945 0.3844
Na: 0.9900 0.3566 0.0326
Li: 0.4713 0.1964 0.2395
Li: 0.4915 0.9240 0.2270
Li: 0.5041 0.2232 0.9321
Li: 0.5074 0.8680 0.9131
Li: 0.5245 0.8802 0.6291
Li: 0.5319 0.5497 0.5815
Li: 0.5320 0.5734 0.9082
Li: 0.5493 0.5539 0.2825
Li: 0.5758 0.2694 0.5539
C: 0.0239 0.7670 0.8210
C: 0.0501 0.4617 0.4754
C: 0.5108 0.7950 0.4711
C: 0.5174 0.7819 0.1409
C: 0.5191 0.1159 0.4741
C: 0.5213 0.1119 0.7980
C: 0.5279 0.4486 0.8073
C: 0.5326 0.4394 0.1534
C: 0.9883 0.1173 0.1262
O: 0.0191 0.8376 0.7198
O: 0.0195 0.7976 0.8918
O: 0.0332 0.6659 0.8505
O: 0.0386 0.5322 0.3743
O: 0.0396 0.4916 0.5467
O: 0.0721 0.3604 0.5060
O: 0.4377 0.1082 0.3912
O: 0.4401 0.3484 0.1624
O: 0.4742 0.8811 0.3788
O: 0.4819 0.0195 0.8048
O: 0.4830 0.7018 0.4794
O: 0.4892 0.1206 0.8829
O: 0.5055 0.4423 0.9001
O: 0.5090 0.8677 0.0478
O: 0.5202 0.6886 0.1483
O: 0.5228 0.7895 0.2267
O: 0.5241 0.0313 0.5678
O: 0.5272 0.3621 0.8007
O: 0.5507 0.5412 0.7210
O: 0.5673 0.5233 0.0597
O: 0.5765 0.8023 0.5553
O: 0.5888 0.4459 0.2384
O: 0.5937 0.1958 0.7058
O: 0.5953 0.2082 0.4634
O: 0.9827 0.1480 0.1969
O: 0.9887 0.0161 0.1566
O: 0.9935 0.1887 0.0251

Peak list (12 most intense, 2θ = 5–70°, by intensity)
2theta, intensity, hkl
21.3, 100, 0 3 3
29.7, 82, -1 1 2
29.3, 77, 1 1 -1
29.0, 71, 1 2 1
37.3, 59, 0 3 6
32.7, 57, 0 4 5
34.6, 52, 1 -3 0
43.3, 47, 0 6 0
34.0, 46, 1 0 3
54.7, 44, 2 0 0
34.9, 27, -1 3 3
35.9, 25, 1 2 4

Starting from the PBE geometry in the Materials Project, the powder XRD pattern of Zr2SiO2 was calculated for CuKα.
Kinematic intensities with the Lorentz-polarization factor, no thermal factor.

Cell: 3.1444 3.1444 11.7744 Å, 90.00 90.00 90.00°
Space group P4/mmm (No. 123)
Unique sites:
Zr: 0.0000 0.0000 0.2397
Si: 0.0000 0.0000 0.0000
O: 0.0000 0.0000 0.3894

Peak list (12 most intense, 2θ = 5–70°, by intensity)
2theta, intensity, hkl
28.4, 100, 1 0 0
15.0, 81, 0 0 2
32.3, 51, 1 0 2
40.6, 36, 1 1 0
42.0, 34, 1 0 4
43.5, 22, 1 1 2
30.4, 21, 0 0 4
51.5, 19, 1 1 4
66.5, 15, 2 1 0
55.2, 12, 1 0 6
58.7, 11, 2 0 0
63.2, 11, 0 0 8

Starting from the PBE geometry in the Materials Project, the powder XRD pattern of UCuO4 was calculated for CuKα.
Kinematic intensities with the Lorentz-polarization factor, no thermal factor.

Cell: 5.5177 5.0253 6.2710 Å, 90.00 111.73 90.00°
Space group P2_1/c (No. 14)
Unique sites:
U: 0.0000 0.0000 0.0000
Cu: 0.5000 0.0000 0.5000
O: 0.1686 0.1830 0.3363
O: 0.3112 0.7095 0.5733

Peak list (12 most intense, 2θ = 5–70°, by intensity)
2theta, intensity, hkl
25.6, 100, 1 1 -1
32.5, 45, 1 1 1
17.3, 34, 1 0 0
23.4, 32, 0 1 1
30.7, 31, 0 0 2
37.2, 24, 2 0 -2
50.9, 21, 2 2 0
47.1, 20, 1 1 -3
47.8, 17, 0 2 2
52.5, 17, 2 2 -2
35.0, 16, 2 0 0
53.2, 14, 3 1 -1

Starting from the PBE geometry in the Materials Project, the powder XRD pattern of EuMgPd was calculated for CuKα.
Kinematic intensities with the Lorentz-polarization factor, no thermal factor.

Cell: 7.5286 4.3939 8.6428 Å, 90.00 90.00 90.00°
Space group Pnma (No. 62)
Unique sites:
Eu: 0.0300 0.2500 0.1770
Mg: 0.1372 0.2500 0.5623
Pd: 0.2259 0.7500 0.3779

Peak list (12 most intense, 2θ = 5–70°, by intensity)
2theta, intensity, hkl
33.0, 100, 2 1 1
31.4, 65, 1 1 2
41.1, 28, 0 2 0
37.3, 27, 0 1 3
33.3, 25, 1 0 3
25.6, 25, 1 1 1
41.6, 19, 3 0 2
39.3, 18, 1 1 3
23.7, 15, 1 0 2
48.5, 14, 1 1 4
59.9, 13, 3 2 2
53.9, 12, 1 2 3

Starting from the PBE geometry in the Materials Project, the powder XRD pattern of Sr4Al6SO16 was calculated for CuKα.
Kinematic intensities with the Lorentz-polarization factor, no thermal factor.

Cell: 9.4214 9.4214 9.4214 Å, 90.00 90.00 90.00°
Space group I-43m (No. 217)
Unique sites:
Sr: 0.1963 0.1963 0.1963
Al: 0.0000 0.2500 0.5000
S: 0.0000 0.0000 0.0000
O: 0.0475 0.3475 0.6525
O: 0.0917 0.0917 0.9083

Peak list (12 most intense, 2θ = 5–70°, by intensity)
2theta, intensity, hkl
23.1, 100, 2 1 1
40.6, 97, 4 1 1
60.6, 36, 5 3 2
35.7, 33, 3 2 1
32.9, 22, 2 2 2
26.8, 21, 2 2 0
57.0, 20, 5 3 0
30.0, 17, 3 1 0
18.8, 16, 2 0 0
58.8, 13, 6 0 0
47.3, 10, 4 2 2
49.3, 10, 4 3 1

Starting from the PBE geometry in the Materials Project, the powder XRD pattern of DyAl3B4O12 was calculated for CuKα.
Kinematic intensities with the Lorentz-polarization factor, no thermal factor.

Cell: 9.3603 9.3603 7.3119 Å, 90.00 90.00 120.00°
Space group R32 (No. 155, hexagonal axes)
Unique sites:
Dy: 0.0000 0.0000 0.0000
Al: 0.0000 0.5558 0.0000
B: 0.0000 0.0000 0.5000
B: 0.0000 0.4432 0.5000
O: 0.0000 0.5915 0.5000
O: 0.0000 0.8513 0.5000
O: 0.0329 0.2166 0.1879

Peak list (12 most intense, 2θ = 5–70°, by intensity)
2theta, intensity, hkl
33.0, 100, 2 0 2
16.3, 96, 1 0 1
25.1, 69, 0 2 1
19.0, 60, 1 1 0
31.7, 47, 2 1 1
38.3, 46, 1 2 2
42.0, 40, 1 3 1
26.7, 32, 0 1 2
54.3, 30, 2 2 3
41.8, 27, 1 1 3
33.2, 26, 3 0 0
38.5, 24, 2 2 0

Starting from the PBE geometry in the Materials Project, the powder XRD pattern of YB3O6 was calculated for CuKα.
Kinematic intensities with the Lorentz-polarization factor, no thermal factor.

Cell: 9.7125 8.0075 6.2852 Å, 90.00 126.21 90.00°
Space group C2/c (No. 15)
Unique sites:
Y: 0.0000 0.2037 0.2500
B: 0.0000 0.2172 0.7500
B: 0.2240 0.4355 0.0860
O: 0.1014 0.3108 0.9962
O: 0.1051 0.1072 0.7066
O: 0.1988 0.4077 0.4964

Peak list (12 most intense, 2θ = 5–70°, by intensity)
2theta, intensity, hkl
32.0, 100, 2 2 0
18.0, 77, 1 1 -1
28.5, 51, 2 0 -2
44.8, 42, 3 1 -3
22.2, 42, 0 2 0
22.7, 38, 2 0 0
28.3, 34, 1 1 1
42.9, 29, 1 3 1
44.4, 28, 4 2 -2
29.2, 28, 2 2 -1
44.7, 25, 4 2 -1
15.8, 25, 1 1 0